[1]
Structure and calculated powder XRD pattern of ZrFeB (a GGA-PBE-relaxed structure; λ = 1.5418 Å (Cu Kα)).

Structural model:
```
data_ZrFeB
_chemical_formula_sum 'Zr8 Fe8 B8'
_space_group_name_H-M_alt 'F m m 2'
_space_group_IT_number 42
_space_group_name_Hall 'F 2 -2'
_cell_length_a 6.166
_cell_length_b 9.544
_cell_length_c 5.288
_cell_angle_alpha 90.00
_cell_angle_beta 90.00
_cell_angle_gamma 90.00
loop_
_atom_site_label
_atom_site_fract_x
_atom_site_fract_y
_atom_site_fract_z
Zr1 0.000 0.250 0.000
Fe1 0.201 0.000 0.252
B1 0.000 0.000 0.586
B2 0.000 0.000 0.918
```

Principal peaks in the range 10 to 90 degrees two-theta, by angle:
d_spacing	I_rel
3.083	13
2.590	100
2.386	57
2.313	89
2.007	55
1.536	44
1.414	14
1.363	15
1.283	14
1.177	18



[2]
Structure and calculated powder XRD pattern of Zr2Fe21B6 (a GGA-PBE-relaxed structure; λ = 1.5418 Å (Cu Kα)).

Structural model:
```
data_Zr2Fe21B6
_chemical_formula_sum 'Zr8 Fe84 B24'
_space_group_name_H-M_alt 'F m -3 m'
_space_group_IT_number 225
_space_group_name_Hall '-F 4 2 3'
_cell_length_a 10.750
_cell_length_b 10.750
_cell_length_c 10.750
_cell_angle_alpha 90.00
_cell_angle_beta 90.00
_cell_angle_gamma 90.00
loop_
_atom_site_label
_atom_site_fract_x
_atom_site_fract_y
_atom_site_fract_z
Zr1 0.250 0.250 0.250
Fe1 0.000 0.000 0.000
Fe2 0.000 0.171 0.171
Fe3 0.113 0.113 0.387
B1 0.000 0.000 0.273
```

Principal peaks in the range 10 to 90 degrees two-theta, by angle:
d_spacing	I_rel
2.404	42
2.194	40
2.069	100
1.900	25
1.817	26
1.621	12
1.304	12
1.267	28
1.241	11
1.097	16



[3]
Structure and calculated powder XRD pattern of Ga4B (a GGA-PBE-relaxed structure; λ = 1.5418 Å (Cu Kα)).

Structural model:
```
data_Ga4B
_chemical_formula_sum 'Ga4 B1'
_space_group_name_H-M_alt 'P m -3 m'
_space_group_IT_number 221
_space_group_name_Hall '-P 4 2 3'
_cell_length_a 4.433
_cell_length_b 4.433
_cell_length_c 4.433
_cell_angle_alpha 90.00
_cell_angle_beta 90.00
_cell_angle_gamma 90.00
loop_
_atom_site_label
_atom_site_fract_x
_atom_site_fract_y
_atom_site_fract_z
Ga1 0.000 0.000 0.000
Ga2 0.000 0.500 0.500
B1 0.500 0.500 0.500
```

Principal peaks in the range 10 to 90 degrees two-theta, by angle:
d_spacing	I_rel
2.559	100
2.217	55
1.567	35
1.337	37
1.280	12
1.108	6



[4]
Structure and calculated powder XRD pattern of Na4Ga3Ge3BH4O12 (a GGA-PBE-relaxed structure; λ = 1.5418 Å (Cu Kα)).

Structural model:
```
data_Na4Ga3Ge3BH4O12
_chemical_formula_sum 'Na8 Ga6 Ge6 B2 H8 O24'
_space_group_name_H-M_alt 'P -4 3 n'
_space_group_IT_number 218
_space_group_name_Hall 'P -4n 2 3'
_cell_length_a 9.216
_cell_length_b 9.216
_cell_length_c 9.216
_cell_angle_alpha 90.00
_cell_angle_beta 90.00
_cell_angle_gamma 90.00
loop_
_atom_site_label
_atom_site_fract_x
_atom_site_fract_y
_atom_site_fract_z
Na1 0.168 0.168 0.168
Ga1 0.000 0.250 0.500
Ge1 0.000 0.500 0.250
B1 0.000 0.000 0.000
H1 0.077 0.077 0.923
O1 0.083 0.362 0.646
```

Principal peaks in the range 10 to 90 degrees two-theta, by angle:
d_spacing	I_rel
6.517	100
3.762	86
2.914	34
2.660	62
2.463	35
1.807	14
1.629	32
1.581	16
1.495	13
1.389	21



[5]
Structure and calculated powder XRD pattern of Na4Ga3Si3BH4O12 (a GGA-PBE-relaxed structure; λ = 1.5418 Å (Cu Kα)).

Structural model:
```
data_Na4Ga3Si3BH4O12
_chemical_formula_sum 'Na8 Ga6 Si6 B2 H8 O24'
_space_group_name_H-M_alt 'P -4 3 n'
_space_group_IT_number 218
_space_group_name_Hall 'P -4n 2 3'
_cell_length_a 9.032
_cell_length_b 9.032
_cell_length_c 9.032
_cell_angle_alpha 90.00
_cell_angle_beta 90.00
_cell_angle_gamma 90.00
loop_
_atom_site_label
_atom_site_fract_x
_atom_site_fract_y
_atom_site_fract_z
Na1 0.171 0.171 0.171
Ga1 0.000 0.250 0.500
Si1 0.000 0.500 0.250
B1 0.000 0.000 0.000
H1 0.079 0.079 0.921
O1 0.074 0.366 0.651
```

Principal peaks in the range 10 to 90 degrees two-theta, by angle:
d_spacing	I_rel
6.387	100
4.039	25
3.687	97
2.856	34
2.607	54
2.414	30
2.129	17
1.597	26
1.549	17
1.362	16



[6]
Structure and calculated powder XRD pattern of RbGaBP2HO9 (a GGA-PBE-relaxed structure; λ = 1.5418 Å (Cu Kα)).

Structural model:
```
data_RbGaBP2HO9
_chemical_formula_sum 'Rb4 Ga4 B4 P8 H4 O36'
_space_group_name_H-M_alt 'P 1 21/c 1'
_space_group_IT_number 14
_cell_length_a 9.471
_cell_length_b 8.593
_cell_length_c 9.680
_cell_angle_alpha 90.00
_cell_angle_beta 103.76
_cell_angle_gamma 90.00
loop_
_space_group_symop_operation_xyz
'x,y,z'
'-x,-y,-z'
'-x,y+1/2,-z+1/2'
'x,-y+1/2,z+1/2'
loop_
_atom_site_label
_atom_site_fract_x
_atom_site_fract_y
_atom_site_fract_z
Rb1 0.192 0.111 0.063
Ga1 0.198 0.659 0.937
B1 0.337 0.048 0.700
P1 0.071 0.563 0.210
P2 0.416 0.733 0.726
H1 0.392 0.054 0.504
O1 0.075 0.521 0.801
O2 0.075 0.659 0.078
O3 0.096 0.658 0.348
O4 0.195 0.066 0.734
O5 0.306 0.038 0.541
O6 0.341 0.708 0.570
O7 0.351 0.633 0.826
O8 0.418 0.191 0.750
O9 0.419 0.590 0.268
```

Principal peaks in the range 10 to 90 degrees two-theta, by angle:
d_spacing	I_rel
6.280	39
4.659	22
4.600	23
4.124	29
3.766	40
3.475	100
3.006	42
2.954	38
2.843	38
2.751	25